Simulated powder diffraction line list
Compound: Rb2LiNi3F12
Radiation: Cu Kα (λ = 1.5418 Å)
Structure: a cell relaxed with GGA+U
Lines closer than 0.1° are merged.

Peak list (10 most intense, 2θ from 10° to 80°, sorted by position)
2θ/deg	d/Å	Rel. int.
15.76	5.623	24
25.45	3.500	46
28.95	3.085	100
29.33	3.046	75
30.07	2.971	30
30.40	2.941	32
46.31	1.960	28
50.37	1.811	46
52.27	1.750	35
57.26	1.609	17

Cell and atoms:
Lattice parameters (Å, degrees): 7.0084 7.0084 7.0084 62.26 62.26 62.26
Element x y z (fractional)
Rb (0.1261, 0.1261, 0.1261)
Rb (0.8739, 0.8739, 0.8739)
Li (0.5000, 0.5000, 0.5000)
Ni (0.0000, 0.5000, 0.5000)
Ni (0.5000, 0.0000, 0.5000)
Ni (0.5000, 0.5000, 0.0000)
F (0.1619, 0.5754, 0.5754)
F (0.1801, 0.1801, 0.5764)
F (0.1801, 0.5764, 0.1801)
F (0.4236, 0.8199, 0.8199)
F (0.4246, 0.4246, 0.8381)
F (0.4246, 0.8381, 0.4246)
F (0.5754, 0.1619, 0.5754)
F (0.5754, 0.5754, 0.1619)
F (0.5764, 0.1801, 0.1801)
F (0.8199, 0.4236, 0.8199)
F (0.8199, 0.8199, 0.4236)
F (0.8381, 0.4246, 0.4246)